Entry 1:
This entry pairs a crystal structure of TbSc3Zn4 with its simulated powder diffraction line list. Radiation: copper Kα. Structure: a PBE-relaxed structure.
Kinematic intensities with the Lorentz-polarization factor, no thermal factor.

Atomic structure:
```
8
Lattice="4.802 0.000 0.000 0.000 4.802 0.000 0.000 0.000 6.890" Properties=species:S:1:pos:R:3 pbc="T T T"
Tb 0.000 0.000 0.000
Sc 0.000 0.000 3.445
Sc 2.401 2.401 0.000
Sc 2.401 2.401 3.445
Zn 0.000 2.401 1.831
Zn 0.000 2.401 5.059
Zn 2.401 0.000 1.831
Zn 2.401 0.000 5.059
```

The 10 most intense peaks (2θ from 10° to 90°), low angle first:
2θ 18.48, I = 11; 2θ 22.57, I = 14; 2θ 29.32, I = 11; 2θ 37.18, I = 100; 2θ 37.45, I = 50; 2θ 53.18, I = 8; 2θ 54.01, I = 17; 2θ 66.85, I = 16; 2θ 67.39, I = 32; 2θ 79.22, I = 9

Entry 2:
This entry pairs a crystal structure of LaGe3Pt5 with its simulated powder diffraction line list. Radiation: copper Kα. Structure: a PBE-relaxed structure.
Kinematic intensities with the Lorentz-polarization factor, no thermal factor.

Atomic structure:
```
18
Lattice="1.967 -6.503 0.000 1.967 6.503 0.000 0.000 0.000 13.258" Properties=species:S:1:pos:R:3 pbc="T T T"
La 1.967 4.500 9.944
La 1.967 -4.500 3.315
Ge 1.967 5.070 3.315
Ge 1.967 1.600 0.430
Ge 1.967 1.600 6.199
Ge 1.967 -1.600 7.059
Ge 1.967 -1.600 12.828
Ge 1.967 -5.070 9.944
Pt 0.000 0.000 0.000
Pt 0.000 0.000 6.629
Pt 1.967 3.879 1.131
Pt 1.967 3.879 5.498
Pt 1.967 0.418 8.601
Pt 1.967 0.418 11.286
Pt 1.967 -0.418 1.972
Pt 1.967 -0.418 4.657
Pt 1.967 -3.879 7.761
Pt 1.967 -3.879 12.127
```

The 10 most intense peaks (2θ from 10° to 90°), low angle first:
2θ 30.68, I = 69; 2θ 31.20, I = 100; 2θ 33.60, I = 62; 2θ 36.10, I = 79; 2θ 41.26, I = 59; 2θ 41.65, I = 47; 2θ 43.24, I = 64; 2θ 43.91, I = 65; 2θ 46.15, I = 69; 2θ 65.08, I = 39

Entry 3:
This entry pairs a crystal structure of Pm3Cd3Pd2 with its simulated powder diffraction line list. Radiation: copper Kα. Structure: a PBE-relaxed structure.
Kinematic intensities with the Lorentz-polarization factor, no thermal factor.

Atomic structure:
```
8
Lattice="7.704 0.000 0.000 -3.852 6.672 0.000 0.000 0.000 3.860" Properties=species:S:1:pos:R:3 pbc="T T T"
Pm -1.599 2.770 0.000
Pm 3.198 0.000 0.000
Pm 2.253 3.902 0.000
Cd -2.965 5.136 1.930
Cd 0.887 1.535 1.930
Cd 5.931 0.000 1.930
Pd 0.000 4.448 1.930
Pd 3.852 2.224 1.930
```

The 10 most intense peaks (2θ from 10° to 90°), low angle first:
2θ 32.85, I = 74; 2θ 35.59, I = 100; 2θ 40.56, I = 10; 2θ 47.09, I = 14; 2θ 49.24, I = 10; 2θ 55.03, I = 21; 2θ 60.40, I = 24; 2θ 65.61, I = 12; 2θ 68.92, I = 15; 2θ 70.53, I = 10